# 1
The following is a theoretical XRD peak list of LaTlInGa2. It was derived from a structure optimized by DFT (PBE), using a wavelength of 1.5418 Å.

Main lines, by angle (10 to 90 degrees two-theta):
| h k l | 2θ/deg | d (Å) | Rel. int. |
| --- | --- | --- | --- |
| 1 0 0 | 16.65 | 5.323 | 49 |
| 1 0 1 | 23.09 | 3.852 | 69 |
| 1 1 0 | 23.64 | 3.764 | 64 |
| 1 1 1 | 28.60 | 3.121 | 35 |
| 0 0 2 | 32.07 | 2.791 | 57 |
| 2 0 0 | 33.68 | 2.661 | 100 |
| 1 1 2 | 40.23 | 2.242 | 32 |
| 2 0 2 | 47.19 | 1.926 | 77 |
| 2 2 0 | 48.36 | 1.882 | 36 |
| 2 2 2 | 59.22 | 1.560 | 39 |

```
data_LaTlInGa2
_chemical_formula_sum 'La1 Tl1 In1 Ga2'
_space_group_name_H-M_alt 'P 4/m m m'
_space_group_IT_number 123
_space_group_name_Hall '-P 4 2'
_cell_length_a 5.323
_cell_length_b 5.323
_cell_length_c 5.582
_cell_angle_alpha 90.00
_cell_angle_beta 90.00
_cell_angle_gamma 90.00
loop_
_atom_site_label
_atom_site_fract_x
_atom_site_fract_y
_atom_site_fract_z
_atom_site_occupancy
La1 0.000 0.000 0.000 1
Tl1 0.500 0.500 0.500 1
In1 0.500 0.500 0.000 1
Ga1 0.000 0.500 0.500 1
```



# 2
The following is a theoretical XRD peak list of Pm6Fe2Cu. It was derived from a structure optimized by DFT (PBE), using a wavelength of 1.5418 Å.

Main lines, by angle (10 to 90 degrees two-theta):
| h k l | 2θ/deg | d (Å) | Rel. int. |
| --- | --- | --- | --- |
| 0 1 3 | 28.22 | 3.162 | 20 |
| 0 3 1 | 28.90 | 3.090 | 20 |
| 3 1 0 | 29.20 | 3.058 | 22 |
| 2 2 2 | 31.61 | 2.831 | 100 |
| 2 1 3 | 33.87 | 2.646 | 46 |
| 1 3 2 | 34.18 | 2.624 | 34 |
| 2 3 1 | 34.46 | 2.602 | 27 |
| 3 2 1 | 34.58 | 2.594 | 18 |
| 4 0 0 | 37.25 | 2.414 | 23 |
| 5 3 2 | 58.58 | 1.576 | 23 |

```
data_Pm6Fe2Cu
_chemical_formula_sum 'Pm24 Fe8 Cu4'
_space_group_name_H-M_alt 'I m m m'
_space_group_IT_number 71
_space_group_name_Hall '-I 2 2'
_cell_length_a 9.656
_cell_length_b 9.742
_cell_length_c 10.034
_cell_angle_alpha 90.00
_cell_angle_beta 90.00
_cell_angle_gamma 90.00
loop_
_atom_site_label
_atom_site_fract_x
_atom_site_fract_y
_atom_site_fract_z
_atom_site_occupancy
Pm1 0.000 0.202 0.218 1
Pm2 0.205 0.500 0.183 1
Pm3 0.211 0.316 0.500 1
Fe1 0.000 0.384 0.000 1
Fe2 0.000 0.500 0.391 1
Cu1 0.000 0.000 0.000 1
Cu2 0.000 0.000 0.500 1
```



# 3
The following is a theoretical XRD peak list of TlCuTe2. It was derived from a structure optimized by DFT (PBE), using a wavelength of 1.5418 Å.

Main lines, by angle (10 to 90 degrees two-theta):
| h k l | 2θ/deg | d (Å) | Rel. int. |
| --- | --- | --- | --- |
| 1 3 0 | 27.88 | 3.200 | 72 |
| 0 4 0 | 30.94 | 2.890 | 71 |
| 2 0 0 | 31.16 | 2.870 | 100 |
| 1 3 -2 | 35.63 | 2.519 | 27 |
| 0 4 2 | 44.32 | 2.044 | 19 |
| 2 4 0 | 44.49 | 2.037 | 55 |
| 0 6 1 | 49.89 | 1.828 | 13 |
| 3 5 -1 | 58.39 | 1.581 | 16 |
| 4 2 -1 | 60.40 | 1.533 | 27 |
| 2 6 1 | 64.61 | 1.443 | 15 |

```
data_TlCuTe2
_chemical_formula_sum 'Tl4 Cu4 Te8'
_space_group_name_H-M_alt 'C 1 c 1'
_space_group_IT_number 9
_cell_length_a 6.613
_cell_length_b 11.567
_cell_length_c 6.655
_cell_angle_alpha 90.00
_cell_angle_beta 119.75
_cell_angle_gamma 90.00
loop_
_space_group_symop_operation_xyz
'x,y,z'
'x,-y,z+1/2'
'x+1/2,y+1/2,z'
'x+1/2,-y+1/2,z+1/2'
loop_
_atom_site_label
_atom_site_fract_x
_atom_site_fract_y
_atom_site_fract_z
_atom_site_occupancy
Tl1 0.000 0.125 0.000 1
Cu1 0.001 0.375 0.501 1
Te1 0.338 0.337 0.924 1
Te2 0.414 0.086 0.578 1
```



# 4
The following is a theoretical XRD peak list of NdSmMoN4. It was derived from a structure optimized by DFT (PBE), using a wavelength of 1.5418 Å.

Main lines, by angle (10 to 90 degrees two-theta):
| h k l | 2θ/deg | d (Å) | Rel. int. |
| --- | --- | --- | --- |
| 1 0 3 | 31.12 | 2.874 | 100 |
| 1 1 0 | 32.26 | 2.775 | 60 |
| 0 0 6 | 42.85 | 2.110 | 11 |
| 1 1 4 | 43.36 | 2.087 | 13 |
| 2 0 0 | 46.26 | 1.962 | 28 |
| 1 1 6 | 54.64 | 1.680 | 16 |
| 2 1 3 | 56.81 | 1.621 | 37 |
| 2 0 6 | 64.89 | 1.437 | 12 |
| 2 2 0 | 67.50 | 1.388 | 8 |
| 3 1 0 | 76.80 | 1.241 | 10 |

```
data_NdSmMoN4
_chemical_formula_sum 'Nd2 Sm2 Mo2 N8'
_space_group_name_H-M_alt 'I 4 m m'
_space_group_IT_number 107
_space_group_name_Hall 'I 4 -2'
_cell_length_a 3.925
_cell_length_b 3.925
_cell_length_c 12.662
_cell_angle_alpha 90.00
_cell_angle_beta 90.00
_cell_angle_gamma 90.00
loop_
_atom_site_label
_atom_site_fract_x
_atom_site_fract_y
_atom_site_fract_z
_atom_site_occupancy
Nd1 0.000 0.000 0.000 1
Sm1 0.000 0.000 0.708 1
Mo1 0.000 0.000 0.347 1
N1 0.000 0.000 0.192 1
N2 0.000 0.000 0.530 1
N3 0.000 0.500 0.358 1
```



# 5
The following is a theoretical XRD peak list of VPd5Pt5. It was derived from a structure optimized by DFT (PBE), using a wavelength of 1.5418 Å.

Main lines, by angle (10 to 90 degrees two-theta):
| h k l | 2θ/deg | d (Å) | Rel. int. |
| --- | --- | --- | --- |
| 0 0 1 | 12.09 | 7.319 | 8 |
| 2 1 0 | 39.68 | 2.272 | 100 |
| 1 2 2 | 46.14 | 1.967 | 49 |
| -1 3 1 | 67.22 | 1.393 | 5 |
| 3 0 -2 | 67.30 | 1.391 | 21 |
| 0 3 4 | 81.01 | 1.187 | 22 |
| 3 3 2 | 81.10 | 1.186 | 9 |
| 4 0 1 | 81.19 | 1.185 | 6 |
| -2 2 4 | 85.40 | 1.137 | 5 |
| 4 2 0 | 85.59 | 1.135 | 6 |

```
data_VPd5Pt5
_chemical_formula_sum 'V1 Pd5 Pt5'
_space_group_name_H-M_alt 'P 1'
_space_group_IT_number 1
_cell_length_a 4.812
_cell_length_b 4.823
_cell_length_c 7.362
_cell_angle_alpha 89.98
_cell_angle_beta 83.83
_cell_angle_gamma 80.44
loop_
_space_group_symop_operation_xyz
'x,y,z'
loop_
_atom_site_label
_atom_site_fract_x
_atom_site_fract_y
_atom_site_fract_z
_atom_site_occupancy
V1 0.000 0.000 0.000 1
Pd1 0.100 0.797 0.637 1
Pd2 0.191 0.629 0.260 1
Pd3 0.280 0.434 0.903 1
Pd4 0.554 0.888 0.817 1
Pd5 0.747 0.530 0.081 1
Pt1 0.376 0.253 0.537 1
Pt2 0.465 0.073 0.169 1
Pt3 0.646 0.710 0.449 1
Pt4 0.834 0.331 0.726 1
Pt5 0.919 0.166 0.350 1
```



# 6
The following is a theoretical XRD peak list of Y5Sc3S8. It was derived from a structure optimized by DFT (PBE), using a wavelength of 1.5418 Å.

Main lines, by angle (10 to 90 degrees two-theta):
| h k l | 2θ/deg | d (Å) | Rel. int. |
| --- | --- | --- | --- |
| 0 0 3 | 14.12 | 6.272 | 6 |
| 0 2 1 | 27.24 | 3.274 | 6 |
| 0 0 6 | 28.47 | 3.135 | 28 |
| 0 2 4 | 32.99 | 2.715 | 100 |
| 2 2 0 | 47.35 | 1.920 | 67 |
| 0 2 10 | 56.18 | 1.637 | 13 |
| 4 0 4 | 58.92 | 1.567 | 22 |
| 0 4 8 | 69.21 | 1.357 | 10 |
| 2 4 4 | 78.83 | 1.214 | 28 |
| 6 0 0 | 88.14 | 1.108 | 21 |

```
data_Y5Sc3S8
_chemical_formula_sum 'Y15 Sc9 S24'
_space_group_name_H-M_alt 'R -3 m'
_space_group_IT_number 166
_space_group_name_Hall '-R 3 2"'
_cell_length_a 7.6766
_cell_length_b 7.6766
_cell_length_c 18.8202
_cell_angle_alpha 90.00
_cell_angle_beta 90.00
_cell_angle_gamma 120.00
loop_
_atom_site_label
_atom_site_fract_x
_atom_site_fract_y
_atom_site_fract_z
_atom_site_occupancy
Y1 0.0000 0.0000 0.0000 1
Y2 0.0000 0.0000 0.5000 1
Y3 0.0000 0.5000 0.0000 1
Sc1 0.0000 0.5000 0.5000 1
S1 0.0000 0.0000 0.2442 1
S2 0.0079 0.5039 0.7539 1
```